# 1
Calculated powder diffractogram
Compound: Ba2SrTl10
Radiation: Cu Kα X-rays
Structure: a crystal structure in Alexandria, relaxed with PBE
Kinematic intensities with the Lorentz-polarization factor, no thermal factor.

Structural model:
```
Ba2SrTl10
1.0
9.8300 0.0000 0.0000
0.0000 16.1605 0.0000
0.0000 0.0000 6.4676
Ba Sr Tl
4 2 20
Cartesian
1.9969 1.7014 0.0000
2.9181 9.7816 0.0000
6.9118 6.3789 0.0000
7.8331 14.4591 0.0000
0.0000 8.0802 3.2338
4.9150 0.0000 3.2338
0.1231 2.7873 3.2338
1.5942 15.9320 3.2338
1.6326 10.9771 3.2338
1.6739 5.3942 1.5386
1.6739 5.3942 4.9291
3.2411 13.4744 1.5386
3.2411 13.4744 4.9291
3.2824 2.8968 3.2338
3.3207 7.8518 3.2338
4.7919 10.8675 3.2338
5.0380 5.2929 3.2338
6.5092 8.3087 3.2338
6.5476 13.2636 3.2338
6.5888 2.6860 1.5386
6.5888 2.6860 4.9291
8.1561 10.7663 1.5386
8.1561 10.7663 4.9291
8.1974 5.1834 3.2338
8.2357 0.2285 3.2338
9.7069 13.3732 3.2338
```

The 8 most intense peaks (10° ≤ 2θ ≤ 90°), sorted by position:
| 2θ/deg | I_rel |
| --- | --- |
| 13.69 | 88 |
| 27.57 | 43 |
| 31.15 | 65 |
| 31.97 | 100 |
| 33.26 | 38 |
| 33.62 | 39 |
| 34.93 | 75 |
| 66.82 | 35 |

***

# 2
Calculated powder diffractogram
Compound: Zr3Al3C5
Radiation: Cu Kα X-rays
Structure: a crystal structure in Alexandria, relaxed with PBE
Kinematic intensities with the Lorentz-polarization factor, no thermal factor.

Structural model:
```
Zr3Al3C5
1.0
3.3095 0.0000 0.0000
-1.6548 2.8661 0.0000
0.0000 0.0000 29.4721
Zr Al C
6 6 10
Cartesian
0.0000 0.0000 0.0000
0.0000 0.0000 14.7361
0.0000 1.9108 2.6560
0.0000 1.9108 12.0801
1.6548 0.9554 17.3921
1.6548 0.9554 26.8161
0.0000 0.0000 7.3680
0.0000 0.0000 22.1041
0.0000 1.9108 5.2584
0.0000 1.9108 9.4776
1.6548 0.9554 19.9945
1.6548 0.9554 24.2137
0.0000 0.0000 4.3996
0.0000 0.0000 10.3365
0.0000 0.0000 19.1357
0.0000 0.0000 25.0725
0.0000 1.9108 16.1418
0.0000 1.9108 22.1041
0.0000 1.9108 28.0663
1.6548 0.9554 1.4058
1.6548 0.9554 7.3680
1.6548 0.9554 13.3303
```

The 8 most intense peaks (10° ≤ 2θ ≤ 90°), sorted by position:
| 2θ/deg | I_rel |
| --- | --- |
| 31.36 | 62 |
| 32.54 | 90 |
| 33.55 | 100 |
| 36.29 | 77 |
| 36.59 | 51 |
| 39.85 | 71 |
| 41.89 | 80 |
| 55.53 | 73 |

***

# 3
Calculated powder diffractogram
Compound: Ac3RhC2N6
Radiation: Cu Kα X-rays
Structure: a crystal structure in Alexandria, relaxed with PBE
Kinematic intensities with the Lorentz-polarization factor, no thermal factor.

Structural model:
```
Ac3RhC2N6
1.0
5.4683 0.0000 0.0000
-2.7342 4.7357 0.0000
0.0000 0.0000 6.9125
Ac Rh C N
3 1 2 6
Cartesian
0.0000 0.0000 0.0000
0.0000 3.1571 4.5960
2.7342 1.5786 2.3165
0.0000 0.0000 3.4563
0.0000 3.1571 1.8399
2.7342 1.5786 5.0726
0.0000 1.7713 1.8511
-1.2002 3.8500 1.8511
1.5340 0.8856 5.0614
1.2002 3.8500 1.8511
3.9343 0.8856 5.0614
2.7342 2.9644 5.0614
```

The 8 most intense peaks (10° ≤ 2θ ≤ 90°), sorted by position:
| 2θ/deg | I_rel |
| --- | --- |
| 22.76 | 97 |
| 32.06 | 100 |
| 32.75 | 92 |
| 40.26 | 35 |
| 46.49 | 42 |
| 51.89 | 28 |
| 52.83 | 25 |
| 58.03 | 36 |

***

# 4
Calculated powder diffractogram
Compound: PH2F3
Radiation: Cu Kα X-rays
Structure: a crystal structure in Alexandria, relaxed with PBE
Kinematic intensities with the Lorentz-polarization factor, no thermal factor.

Structural model:
```
PH2F3
1.0
2.9640 -4.1197 0.0000
2.9640 4.1197 0.0000
0.0000 0.0000 6.2333
P H F
2 4 6
Cartesian
2.9640 2.5524 3.1166
2.9640 -2.5524 0.0000
1.2559 0.9752 6.0836
1.2559 -0.9752 2.9670
4.6722 0.9752 6.0836
4.6722 -0.9752 2.9670
2.9640 2.9953 4.7251
2.9640 2.1391 1.5108
2.9640 1.0256 3.5315
2.9640 -1.0256 0.4148
2.9640 -2.1391 4.6274
2.9640 -2.9953 1.6085
```

The 8 most intense peaks (10° ≤ 2θ ≤ 90°), sorted by position:
| 2θ/deg | I_rel |
| --- | --- |
| 21.57 | 38 |
| 23.35 | 100 |
| 30.15 | 58 |
| 36.04 | 11 |
| 37.38 | 16 |
| 38.92 | 18 |
| 47.68 | 13 |
| 49.65 | 9 |

***

# 5
Calculated powder diffractogram
Compound: NpNi11Sb
Radiation: Cu Kα X-rays
Structure: a crystal structure in Alexandria, relaxed with PBE
Kinematic intensities with the Lorentz-polarization factor, no thermal factor.

Structural model:
```
NpNi11Sb
1.0
2.4263 -5.7785 0.0000
2.4263 5.7785 0.0000
-2.2638 0.0000 5.9680
Np Ni Sb
1 11 1
Cartesian
0.0000 0.0000 0.0000
-1.1319 0.0000 2.9840
1.2131 2.8892 0.0000
0.2358 3.6708 3.9151
0.0980 1.2751 4.7235
2.3530 3.6708 2.0529
1.2131 -2.8892 0.0000
0.0980 -1.2751 4.7235
2.4907 1.2751 1.2445
0.2358 -3.6708 3.9151
2.4907 -1.2751 1.2445
2.3530 -3.6708 2.0529
1.2944 0.0000 2.9840
```

The 8 most intense peaks (10° ≤ 2θ ≤ 90°), sorted by position:
| 2θ/deg | I_rel |
| --- | --- |
| 30.69 | 23 |
| 37.09 | 47 |
| 42.82 | 35 |
| 43.41 | 30 |
| 43.59 | 100 |
| 43.96 | 23 |
| 44.15 | 28 |
| 78.99 | 23 |

***

# 6
Calculated powder diffractogram
Compound: Dy2Y8Th3
Radiation: Cu Kα X-rays
Structure: a crystal structure in Alexandria, relaxed with PBE
Kinematic intensities with the Lorentz-polarization factor, no thermal factor.

Structural model:
```
Dy2Y8Th3
1.0
11.6982 0.0000 0.0000
0.0000 20.9933 0.0000
0.0000 0.0000 3.4916
Dy Y Th
4 16 6
Cartesian
2.0624 2.0742 0.0000
3.7867 12.5709 0.0000
7.9115 8.4224 0.0000
9.6358 18.9191 0.0000
0.4942 12.0251 0.0000
0.6912 17.6625 1.7458
1.5546 6.0032 0.0000
2.4765 9.4746 1.7458
3.3726 19.9713 1.7458
4.2945 16.4999 0.0000
5.1579 7.1658 1.7458
5.3549 1.5284 0.0000
6.3433 19.4649 0.0000
6.5403 13.8275 1.7458
7.4037 4.4935 0.0000
8.3256 1.0220 1.7458
9.2217 11.5187 1.7458
10.1436 14.9901 0.0000
11.0070 3.3309 1.7458
11.2040 8.9683 0.0000
0.0000 0.0000 1.7458
1.6514 14.6944 1.7458
4.1977 4.1977 1.7458
5.8491 10.4967 1.7458
7.5005 16.7956 1.7458
10.0468 6.2990 1.7458
```

The 8 most intense peaks (10° ≤ 2θ ≤ 90°), sorted by position:
| 2θ/deg | I_rel |
| --- | --- |
| 11.33 | 47 |
| 30.11 | 74 |
| 30.77 | 56 |
| 31.31 | 77 |
| 31.73 | 100 |
| 34.75 | 60 |
| 36.35 | 34 |
| 62.33 | 22 |